Diffraction record for MoIr4W3. The powder XRD pattern is calculated, not measured: it uses the PBE geometry in Alexandria and Cu Kα X-rays.
Neutral-atom scattering factors, no anomalous dispersion.

Peak list (6 most intense, 2θ = 10–90°, by intensity)
2θ = 42.49°, d = 2.128 Å, rel. 100, (2 2 1)
2θ = 38.59°, d = 2.333 Å, rel. 51, (1 0 2)
2θ = 40.18°, d = 2.244 Å, rel. 36, (4 0 0)
2θ = 81.18°, d = 1.185 Å, rel. 29, (4 4 0)
2θ = 48.42°, d = 1.880 Å, rel. 27, (3 0 2)
2θ = 67.09°, d = 1.395 Å, rel. 24, (0 4 0)

Cell and atoms:
```
data_MoIr4W3
_chemical_formula_sum 'Mo2 Ir8 W6'
_cell_length_a 8.978
_cell_length_b 5.580
_cell_length_c 4.833
_cell_angle_alpha 90.00
_cell_angle_beta 90.00
_cell_angle_gamma 90.00
_space_group_name_H-M_alt 'P m m a'
_space_group_IT_number 51
loop_
_space_group_symop_operation_xyz
'x,y,z'
'-x,-y,-z'
'-x+1/2,-y,z'
'x+1/2,y,-z'
'x+1/2,-y,-z'
'-x+1/2,y,z'
'-x,y,-z'
'x,-y,z'
loop_
_atom_site_label
_atom_site_fract_x
_atom_site_fract_y
_atom_site_fract_z
Mo1 0.000 0.000 0.000
Ir1 0.000 0.250 0.500
Ir2 0.250 0.250 0.160
W1 0.000 0.500 0.000
W2 0.250 0.000 0.667
W3 0.250 0.500 0.666
```



Diffraction record for Mo5Ir6W. The powder XRD pattern is calculated, not measured: it uses the PBE geometry in Alexandria and Cu Kα X-rays.
Neutral-atom scattering factors, no anomalous dispersion.

Peak list (6 most intense, 2θ = 10–90°, by intensity)
2θ = 39.83°, d = 2.263 Å, rel. 100, (1 3 2)
2θ = 46.40°, d = 1.957 Å, rel. 32, (2 0 0)
2θ = 67.54°, d = 1.387 Å, rel. 21, (2 0 4)
2θ = 46.18°, d = 1.966 Å, rel. 16, (0 0 4)
2θ = 81.22°, d = 1.184 Å, rel. 13, (1 3 6)
2θ = 81.48°, d = 1.181 Å, rel. 13, (3 3 2)

Cell and atoms:
```
data_Mo5Ir6W
_chemical_formula_sum 'Mo10 Ir12 W2'
_cell_length_a 3.917
_cell_length_b 11.732
_cell_length_c 7.863
_cell_angle_alpha 90.00
_cell_angle_beta 90.00
_cell_angle_gamma 90.00
_space_group_name_H-M_alt 'C m m m'
_space_group_IT_number 65
_space_group_name_Hall '-C 2 2'
loop_
_atom_site_label
_atom_site_fract_x
_atom_site_fract_y
_atom_site_fract_z
Mo1 0.000 0.000 0.000
Mo2 0.000 0.333 0.500
Mo3 0.000 0.334 0.000
Ir1 0.000 0.167 0.250
Ir2 0.000 0.500 0.251
W1 0.000 0.000 0.500
```



Diffraction record for ZnMoIr. The powder XRD pattern is calculated, not measured: it uses the PBE geometry in Alexandria and Cu Kα X-rays.
Neutral-atom scattering factors, no anomalous dispersion.

Peak list (6 most intense, 2θ = 10–90°, by intensity)
2θ = 40.05°, d = 2.251 Å, rel. 100, (1 0 3)
2θ = 45.78°, d = 1.982 Å, rel. 34, (1 1 0)
2θ = 80.77°, d = 1.190 Å, rel. 26, (2 1 3)
2θ = 68.63°, d = 1.368 Å, rel. 20, (1 1 6)
2θ = 48.16°, d = 1.889 Å, rel. 14, (0 0 6)
2θ = 66.74°, d = 1.402 Å, rel. 11, (2 0 0)

Cell and atoms:
```
data_ZnMoIr
_chemical_formula_sum 'Zn2 Mo2 Ir2'
_cell_length_a 2.803
_cell_length_b 2.803
_cell_length_c 11.336
_cell_angle_alpha 90.00
_cell_angle_beta 90.00
_cell_angle_gamma 90.00
_space_group_name_H-M_alt 'P 4 m m'
_space_group_IT_number 99
loop_
_space_group_symop_operation_xyz
'x,y,z'
'-y,x,z'
'-x,-y,z'
'y,-x,z'
'-x,y,z'
'y,x,z'
'x,-y,z'
'-y,-x,z'
loop_
_atom_site_label
_atom_site_fract_x
_atom_site_fract_y
_atom_site_fract_z
Zn1 0.000 0.000 0.000
Zn2 0.500 0.500 0.166
Mo1 0.500 0.500 0.488
Mo2 0.500 0.500 0.830
Ir1 0.000 0.000 0.327
Ir2 0.000 0.000 0.664
```



Diffraction record for NaSr2IrN2. The powder XRD pattern is calculated, not measured: it uses the PBE geometry in Alexandria and Cu Kα X-rays.
Neutral-atom scattering factors, no anomalous dispersion.

Peak list (6 most intense, 2θ = 10–90°, by intensity)
2θ = 32.47°, d = 2.757 Å, rel. 100, (1 2 1)
2θ = 17.43°, d = 5.088 Å, rel. 49, (1 1 0)
2θ = 22.38°, d = 3.972 Å, rel. 36, (0 1 1)
2θ = 39.74°, d = 2.268 Å, rel. 21, (0 0 2)
2θ = 29.65°, d = 3.013 Å, rel. 15, (2 1 0)
2θ = 46.60°, d = 1.949 Å, rel. 15, (3 0 1)

Cell and atoms:
```
data_NaSr2IrN2
_chemical_formula_sum 'Na2 Sr4 Ir2 N4'
_cell_length_a 6.475
_cell_length_b 8.228
_cell_length_c 4.536
_cell_angle_alpha 90.00
_cell_angle_beta 90.00
_cell_angle_gamma 90.00
_space_group_name_H-M_alt 'P n n m'
_space_group_IT_number 58
loop_
_space_group_symop_operation_xyz
'x,y,z'
'-x,-y,-z'
'-x,-y,z'
'x,y,-z'
'x+1/2,-y+1/2,-z+1/2'
'-x+1/2,y+1/2,z+1/2'
'-x+1/2,y+1/2,-z+1/2'
'x+1/2,-y+1/2,z+1/2'
loop_
_atom_site_label
_atom_site_fract_x
_atom_site_fract_y
_atom_site_fract_z
Na1 0.000 0.000 0.000
Sr1 0.112 0.253 0.500
Ir1 0.000 0.500 0.000
N1 0.229 0.903 0.500
```



Diffraction record for Nb4Ir2N. The powder XRD pattern is calculated, not measured: it uses the PBE geometry in Alexandria and Cu Kα X-rays.
Neutral-atom scattering factors, no anomalous dispersion.

Peak list (6 most intense, 2θ = 10–90°, by intensity)
2θ = 38.98°, d = 2.311 Å, rel. 100, (3 3 3)
2θ = 66.02°, d = 1.415 Å, rel. 28, (6 6 0)
2θ = 36.67°, d = 2.451 Å, rel. 21, (4 2 2)
2θ = 42.60°, d = 2.122 Å, rel. 21, (4 4 0)
2θ = 79.41°, d = 1.207 Å, rel. 20, (9 3 3)
2θ = 12.77°, d = 6.932 Å, rel. 17, (1 1 1)

Cell and atoms:
Cell lengths 12.007, 12.007, 12.007 Å; angles 90.00, 90.00, 90.00 degrees
Space group Fd-3m (No. 227, origin choice 2)
One atom of each set of equivalent atoms:
Nb: 0.000 0.000 0.000 (multiplicity 16)
Nb: 0.058 0.375 0.875 (multiplicity 48)
Ir: 0.037 0.037 0.213 (multiplicity 32)
N: 0.000 0.000 0.500 (multiplicity 16)



Diffraction record for NbIrN. The powder XRD pattern is calculated, not measured: it uses the PBE geometry in Alexandria and Cu Kα X-rays.
Neutral-atom scattering factors, no anomalous dispersion.

Peak list (6 most intense, 2θ = 10–90°, by intensity)
2θ = 36.88°, d = 2.437 Å, rel. 100, (1 0 2)
2θ = 43.85°, d = 2.064 Å, rel. 42, (1 1 0)
2θ = 43.61°, d = 2.075 Å, rel. 31, (1 0 3)
2θ = 75.99°, d = 1.252 Å, rel. 25, (2 1 2)
2θ = 61.41°, d = 1.510 Å, rel. 18, (1 1 4)
2θ = 40.77°, d = 2.213 Å, rel. 16, (0 0 4)

Cell and atoms:
```
data_NbIrN
_chemical_formula_sum 'Nb2 Ir2 N2'
_cell_length_a 2.920
_cell_length_b 2.920
_cell_length_c 8.853
_cell_angle_alpha 90.00
_cell_angle_beta 90.00
_cell_angle_gamma 90.00
_space_group_name_H-M_alt 'P 4/n m m'
_space_group_IT_number 129
loop_
_space_group_symop_operation_xyz
'x,y,z'
'-x,-y,-z'
'-y+1/2,x,z'
'y+1/2,-x,-z'
'-x+1/2,-y+1/2,z'
'x+1/2,y+1/2,-z'
'y,-x+1/2,z'
'-y,x+1/2,-z'
'x+1/2,-y,-z'
'-x+1/2,y,z'
'-y,-x,-z'
'y,x,z'
'-x,y+1/2,-z'
'x,-y+1/2,z'
'y+1/2,x+1/2,-z'
'-y+1/2,-x+1/2,z'
loop_
_atom_site_label
_atom_site_fract_x
_atom_site_fract_y
_atom_site_fract_z
Nb1 0.250 0.250 0.165
Ir1 0.250 0.250 0.608
N1 0.250 0.250 0.903
```